Sr3Y2FeCu3BiO12: computed powder diffraction line list (Cu Kα X-rays), based on a GGA+U-relaxed structure.
Peak positions follow from Bragg's law for the DFT cell and can differ from measured ones.

Largest 10 diffraction maxima, low angle first, 10° ≤ 2θ ≤ 90°:
2θ (°), intensity, h k l
23.6, 100, 1 1 1
26.8, 107, 1 1 3
32.3, 1000, 1 1 5
33.1, 589, 2 0 0
39.2, 123, 1 1 7
42.9, 157, 2 0 6
47.5, 350, 2 2 0
57.0, 141, 2 0 10
58.6, 364, 3 1 5
69.4, 103, 4 0 0

Crystal structure
```
data_Sr3Y2FeCu3BiO12
_space_group_name_H-M_alt 'A m m 2'
_space_group_IT_number 38
_cell_length_a 5.4150
_cell_length_b 5.4180
_cell_length_c 20.1144
_cell_angle_alpha 90.00
_cell_angle_beta 90.00
_cell_angle_gamma 90.00
loop_
_space_group_symop_operation_xyz
'x,y,z'
'-x,-y,z'
'-x,y,z'
'x,-y,z'
'x,y+1/2,z+1/2'
'-x,-y+1/2,z+1/2'
'-x,y+1/2,z+1/2'
'x,-y+1/2,z+1/2'
loop_
_atom_site_label
_atom_site_type_symbol
_atom_site_fract_x
_atom_site_fract_y
_atom_site_fract_z
_atom_site_occupancy
Sr1 Sr 0.0000 0.0000 0.0000 1
Sr2 Sr 0.0000 0.0000 0.3578 1
Sr3 Sr 0.5000 0.0000 0.5008 1
Y1 Y 0.0000 0.0000 0.1806 1
Y2 Y 0.5000 0.0000 0.6836 1
Fe1 Fe 0.0000 0.0000 0.5836 1
Cu1 Cu 0.0000 0.0000 0.7659 1
Cu2 Cu 0.5000 0.0000 0.0993 1
Cu3 Cu 0.5000 0.0000 0.2660 1
Bi1 Bi 0.5000 0.0000 0.8696 1
O1 O 0.0000 0.0000 0.4882 1
O2 O 0.0000 0.0000 0.8789 1
O3 O 0.2477 0.2478 0.2503 1
O4 O 0.2482 0.2477 0.6060 1
O5 O 0.5000 0.0000 0.3796 1
O6 O 0.5000 0.0000 0.9752 1
```